Structure and simulated powder diffraction line list of DyYAg2 (a crystal structure in the Materials Project, relaxed with GGA-PBE; Cu Kα X-rays).
Lines closer than 0.1° are merged.

Principal peaks in the range 2θ = 10–80°, by intensity:
2θ (°)  I (rel.)  h k l
34.8  100  2 2 0
62.3  35  4 2 2
50.0  17  4 0 0
73.4  11  4 4 0
21.1  5  1 1 1
41.0  3  3 1 1
54.8  1  3 3 1
77.4  1  5 3 1

abc: 7.2966 7.2966 7.2966
angles: 90.00 90.00 90.00
Space group Fm-3m (No. 225)
Inequivalent atoms, fractional coordinates:
Dy 0.0000 0.0000 0.0000 [4 per cell]
Y 0.0000 0.0000 0.5000 [4 per cell]
Ag 0.2500 0.2500 0.2500 [8 per cell]


Structure and simulated powder diffraction line list of Ga2O3 (a crystal structure in the Materials Project, relaxed with GGA-PBE; Cu Kα X-rays).
Lines closer than 0.1° are merged.

Principal peaks in the range 2θ = 10–80°, by intensity:
2θ (°)  I (rel.)  h k l
31.1  100  0 2 2
45.0  32  1 3 1
64.8  27  0 6 2
50.2  24  1 3 2
35.4  19  1 1 1
50.5  19  1 1 3
33.2  18  1 1 0
43.2  17  1 3 0

abc: 2.8204 9.3944 7.2840
angles: 90.00 90.00 90.00
Space group Cmcm (No. 63)
Inequivalent atoms, fractional coordinates:
Ga 0.0000 0.0000 0.0000 [4 per cell]
Ga 0.0000 0.2480 0.2500 [4 per cell]
O 0.0000 0.1070 0.7500 [4 per cell]
O 0.0000 0.3631 0.5748 [8 per cell]


Copy entry 2 word for word.
Structure and simulated powder diffraction line list of Ga2O3 (a crystal structure in the Materials Project, relaxed with GGA-PBE; Cu Kα X-rays).
Lines closer than 0.1° are merged.

Principal peaks in the range 2θ = 10–80°, by intensity:
2θ (°)  I (rel.)  h k l
31.1  100  0 2 2
45.0  32  1 3 1
64.8  27  0 6 2
50.2  24  1 3 2
35.4  19  1 1 1
50.5  19  1 1 3
33.2  18  1 1 0
43.2  17  1 3 0

abc: 2.8204 9.3944 7.2840
angles: 90.00 90.00 90.00
Space group Cmcm (No. 63)
Inequivalent atoms, fractional coordinates:
Ga 0.0000 0.0000 0.0000 [4 per cell]
Ga 0.0000 0.2480 0.2500 [4 per cell]
O 0.0000 0.1070 0.7500 [4 per cell]
O 0.0000 0.3631 0.5748 [8 per cell]


What is the formula in the second record?
Ga2O3


Please write out number 2 again, unchanged.
Structure and simulated powder diffraction line list of Ga2O3 (a crystal structure in the Materials Project, relaxed with GGA-PBE; Cu Kα X-rays).
Lines closer than 0.1° are merged.

Principal peaks in the range 2θ = 10–80°, by intensity:
2θ (°)  I (rel.)  h k l
31.1  100  0 2 2
45.0  32  1 3 1
64.8  27  0 6 2
50.2  24  1 3 2
35.4  19  1 1 1
50.5  19  1 1 3
33.2  18  1 1 0
43.2  17  1 3 0

abc: 2.8204 9.3944 7.2840
angles: 90.00 90.00 90.00
Space group Cmcm (No. 63)
Inequivalent atoms, fractional coordinates:
Ga 0.0000 0.0000 0.0000 [4 per cell]
Ga 0.0000 0.2480 0.2500 [4 per cell]
O 0.0000 0.1070 0.7500 [4 per cell]
O 0.0000 0.3631 0.5748 [8 per cell]